1.
Diffraction record for Zn2Ag3. The X-ray diffraction stick pattern is calculated, not measured: it uses a PBE-relaxed structure and Cu Kα.
Intensities are scaled so that the largest is 100.

Most intense lines, 15 to 90 degrees two-theta, most intense first:
Position (°2θ), Rel. int.
38.6, 100
43.7, 35
76.9, 24
66.2, 18
47.1, 13
63.5, 11
82.7, 10
81.7, 9
30.9, 4
27.7, 3

Atomic structure:
Lattice parameters (Å, degrees): 9.876 9.876 9.876 162.95 162.95 24.21
Fractional coordinates of all 5 atoms:
Zn: 0.099 0.099 0.000
Zn: 0.901 0.901 0.000
Ag: 0.305 0.305 0.000
Ag: 0.500 0.500 0.000
Ag: 0.695 0.695 0.000



2.
Diffraction record for MoHPt. The X-ray diffraction stick pattern is calculated, not measured: it uses a PBE-relaxed structure and Cu Kα.
Intensities are scaled so that the largest is 100.

Most intense lines, 15 to 90 degrees two-theta, most intense first:
Position (°2θ), Rel. int.
38.5, 100
45.7, 31
79.7, 24
64.3, 22
42.6, 19
75.3, 14
82.4, 11
20.9, 11
66.7, 10
31.9, 9

Atomic structure:
Lattice parameters (Å, degrees): 3.968 3.968 4.242 90.00 90.00 90.00
Fractional coordinates of all 6 atoms:
Mo: 0.250 0.750 0.000
Mo: 0.750 0.250 0.000
H: 0.250 0.250 0.070
H: 0.750 0.750 0.930
Pt: 0.250 0.250 0.513
Pt: 0.750 0.750 0.487



3.
Diffraction record for Sc3PSe2. The X-ray diffraction stick pattern is calculated, not measured: it uses a PBE-relaxed structure and Cu Kα.
Intensities are scaled so that the largest is 100.

Most intense lines, 15 to 90 degrees two-theta, most intense first:
Position (°2θ), Rel. int.
32.9, 100
47.5, 67
33.3, 50
59.4, 17
47.7, 17
46.7, 16
58.5, 16
79.4, 14
78.8, 13
32.6, 11

Atomic structure:
Lattice parameters (Å, degrees): 6.704 6.704 6.704 146.95 132.64 58.96
Fractional coordinates of all 6 atoms:
Sc: 0.000 0.000 0.000
Sc: 0.351 0.351 0.000
Sc: 0.649 0.649 0.000
P: 0.500 0.000 0.500
Se: 0.171 0.671 0.500
Se: 0.829 0.329 0.500



4.
Diffraction record for CsAg2IO6. The X-ray diffraction stick pattern is calculated, not measured: it uses a PBE-relaxed structure and Cu Kα.
Intensities are scaled so that the largest is 100.

Most intense lines, 15 to 90 degrees two-theta, most intense first:
Position (°2θ), Rel. int.
30.9, 100
27.7, 88
45.0, 61
20.6, 40
53.0, 29
41.9, 28
54.9, 24
64.3, 14
32.0, 14
64.9, 13

Atomic structure:
Lattice parameters (Å, degrees): 6.532 6.532 6.532 52.63 52.63 52.63
Fractional coordinates of all 10 atoms:
Cs: 0.000 0.000 0.000
Ag: 0.277 0.277 0.277
Ag: 0.799 0.799 0.799
I: 0.472 0.472 0.472
O: 0.107 0.595 0.492
O: 0.261 0.514 0.821
O: 0.492 0.107 0.595
O: 0.514 0.821 0.261
O: 0.595 0.492 0.107
O: 0.821 0.261 0.514